(1)
Diffraction record for Sr2Ca6Mn7FeO24. The PXRD pattern is calculated, not measured: it uses the GGA+U geometry in the Materials Project and Cu Kα, 1.54184 Å.
Lines closer than 0.1° are merged.

Structure:
a b c (Å): 7.6731 10.8547 10.8515
angles (deg): 90.00 90.00 90.00
Space group Amm2 (No. 38)
One atom of each set of equivalent atoms:
1 Sr 0.2501 0.0000 0.0000 [4 per cell]
2 Ca 0.2501 0.0000 0.5003 [4 per cell]
3 Ca 0.2500 0.2501 0.2502 [8 per cell]
4 Mn 0.0000 0.0000 0.2514 [2 per cell]
5 Mn 0.0000 0.0000 0.7487 [2 per cell]
6 Mn 0.0000 0.2488 0.5001 [4 per cell]
7 Mn 0.5000 0.0000 0.2513 [2 per cell]
8 Mn 0.5000 0.2487 0.5001 [4 per cell]
9 Fe 0.5000 0.0000 0.7488 [2 per cell]
10 O 0.0000 0.1245 0.3754 [4 per cell]
11 O 0.0000 0.1250 0.6244 [4 per cell]
12 O 0.0000 0.1280 0.1285 [4 per cell]
13 O 0.0000 0.1286 0.8724 [4 per cell]
14 O 0.2454 0.0000 0.7468 [4 per cell]
15 O 0.2492 0.2465 0.5002 [8 per cell]
16 O 0.2497 0.0000 0.2537 [4 per cell]
17 O 0.5000 0.1241 0.3752 [4 per cell]
18 O 0.5000 0.1267 0.6222 [4 per cell]
19 O 0.5000 0.1277 0.1287 [4 per cell]
20 O 0.5000 0.1300 0.8746 [4 per cell]

The 12 most intense peaks (2θ = 5–70°), in order of rising 2θ:
(0 1 1), 11.53 deg, intensity 4
(0 2 0), 16.33 deg, intensity 2
(2 0 0), 23.18 deg, intensity 6
(0 3 1), 25.96 deg, intensity 4
(2 0 2), 28.49 deg, intensity 2
(2 2 2), 33.02 deg, intensity 100
(0 3 3), 35.08 deg, intensity 3
(2 4 0), 40.73 deg, intensity 9
(4 0 0), 47.39 deg, intensity 47
(4 2 2), 53.39 deg, intensity 2
(4 4 0), 58.96 deg, intensity 36
(4 4 4), 69.26 deg, intensity 26

***

(2)
Diffraction record for Mn2ZnO4. The PXRD pattern is calculated, not measured: it uses the GGA+U geometry in the Materials Project and Cu Kα, 1.54184 Å.
Lines closer than 0.1° are merged.

Structure:
a b c (Å): 15.0430 3.0045 9.3252
angles (deg): 90.00 127.88 90.00
Space group C2/m (No. 12)
One atom of each set of equivalent atoms:
1 Mn 0.1247 0.0000 0.4438 [4 per cell]
2 Mn 0.1453 0.5000 0.8171 [4 per cell]
3 Zn 0.1784 0.0000 0.1953 [4 per cell]
4 O 0.0483 0.0000 0.7531 [4 per cell]
5 O 0.1393 0.5000 0.5988 [4 per cell]
6 O 0.1602 0.5000 0.3291 [4 per cell]
7 O 0.2151 0.5000 0.0808 [4 per cell]

The 12 most intense peaks (2θ = 5–70°), in order of rising 2θ:
(2 0 0), 14.92 deg, intensity 100
(4 0 -3), 29.77 deg, intensity 46
(4 0 0), 30.11 deg, intensity 63
(1 1 -1), 31.28 deg, intensity 28
(1 1 1), 34.80 deg, intensity 87
(0 0 3), 36.63 deg, intensity 31
(3 1 -3), 41.81 deg, intensity 41
(5 1 -2), 42.54 deg, intensity 48
(5 1 -4), 50.15 deg, intensity 53
(7 1 -2), 53.04 deg, intensity 39
(5 1 1), 56.49 deg, intensity 31
(1 1 4), 63.77 deg, intensity 34

***

(3)
Diffraction record for Li7Mn5O12. The PXRD pattern is calculated, not measured: it uses the GGA+U geometry in the Materials Project and Cu Kα, 1.54184 Å.
Lines closer than 0.1° are merged.

Structure:
a b c (Å): 6.4638 8.3743 8.6344
angles (deg): 89.85 89.83 70.84
Space group P1 (No. 1)
One atom of each set of equivalent atoms:
1 Li 0.0000 0.0000 0.0000 [1 per cell]
2 Li 0.0002 0.9998 0.4996 [1 per cell]
3 Li 0.9998 0.5001 0.9997 [1 per cell]
4 Li 0.0004 0.4999 0.4995 [1 per cell]
5 Li 0.0019 0.7433 0.2508 [1 per cell]
6 Li 0.3234 0.6621 0.4942 [1 per cell]
7 Li 0.3252 0.1698 0.0009 [1 per cell]
8 Li 0.3254 0.9176 0.7693 [1 per cell]
9 Li 0.3261 0.4204 0.2686 [1 per cell]
10 Li 0.6739 0.0830 0.2311 [1 per cell]
11 Li 0.6740 0.5790 0.7299 [1 per cell]
12 Li 0.6754 0.8305 0.9996 [1 per cell]
13 Li 0.6768 0.3374 0.5048 [1 per cell]
14 Li 0.9984 0.2559 0.7481 [1 per cell]
15 Mn 0.0033 0.2530 0.2503 [1 per cell]
16 Mn 0.3296 0.6688 0.9996 [1 per cell]
17 Mn 0.3312 0.9173 0.2412 [1 per cell]
18 Mn 0.3324 0.1694 0.4969 [1 per cell]
19 Mn 0.3361 0.4194 0.7420 [1 per cell]
20 Mn 0.6646 0.5800 0.2572 [1 per cell]
21 Mn 0.6686 0.8300 0.5023 [1 per cell]
22 Mn 0.6700 0.0806 0.7580 [1 per cell]
23 Mn 0.6702 0.3309 0.9986 [1 per cell]
24 Mn 0.9963 0.7466 0.7490 [1 per cell]
25 O 0.0125 0.0165 0.2501 [1 per cell]
26 O 0.0146 0.7433 0.9762 [1 per cell]
27 O 0.0176 0.2464 0.4780 [1 per cell]
28 O 0.0194 0.5070 0.7493 [1 per cell]
29 O 0.3173 0.1833 0.2417 [1 per cell]
30 O 0.3165 0.6580 0.7375 [1 per cell]
31 O 0.3344 0.8993 0.0139 [1 per cell]
32 O 0.3368 0.4014 0.5207 [1 per cell]
33 O 0.3434 0.1832 0.7567 [1 per cell]
34 O 0.3456 0.6525 0.2547 [1 per cell]
35 O 0.3469 0.4277 0.9723 [1 per cell]
36 O 0.3478 0.9280 0.4770 [1 per cell]
37 O 0.6526 0.5719 0.0266 [1 per cell]
38 O 0.6535 0.0714 0.5218 [1 per cell]
39 O 0.6546 0.3473 0.7445 [1 per cell]
40 O 0.6582 0.8164 0.2423 [1 per cell]
41 O 0.6636 0.5976 0.4785 [1 per cell]
42 O 0.6662 0.1005 0.9855 [1 per cell]
43 O 0.6835 0.3418 0.2618 [1 per cell]
44 O 0.6832 0.8162 0.7573 [1 per cell]
45 O 0.9805 0.4931 0.2499 [1 per cell]
46 O 0.9841 0.2571 0.0234 [1 per cell]
47 O 0.9838 0.7531 0.5211 [1 per cell]
48 O 0.9892 0.9839 0.7492 [1 per cell]

The 12 most intense peaks (2θ = 5–70°), in order of rising 2θ:
(0 1 1), 15.19 deg, intensity 7
(1 1 -1), 18.34 deg, intensity 100
(1 1 3), 34.69 deg, intensity 13
(0 3 1), 35.59 deg, intensity 14
(2 -1 1), 36.36 deg, intensity 12
(2 2 -2), 37.22 deg, intensity 9
(0 0 4), 41.85 deg, intensity 30
(1 4 0), 43.21 deg, intensity 28
(3 0 0), 44.52 deg, intensity 26
(1 4 4), 61.63 deg, intensity 8
(1 4 -4), 61.82 deg, intensity 7
(3 0 4), 62.67 deg, intensity 7